(1)
Calculated powder X-ray diffraction pattern of PmSm3Pu2Se6 for Cu Kα, 1.54184 Å, from a crystal structure in Alexandria, relaxed with PBE.
Intensities are scaled so that the largest is 100.

Structure:
```
data_PmSm3Pu2Se6
_chemical_formula_sum 'Pm2 Sm6 Pu4 Se12'
_cell_length_a 7.199
_cell_length_b 12.479
_cell_length_c 7.242
_cell_angle_alpha 90.00
_cell_angle_beta 109.36
_cell_angle_gamma 90.00
_symmetry_space_group_name_H-M 'C 1 2/m 1'
_symmetry_Int_Tables_number 12
loop_
_symmetry_equiv_pos_as_xyz
'x,y,z'
'-x,-y,-z'
'-x,y,-z'
'x,-y,z'
'x+1/2,y+1/2,z'
'-x+1/2,-y+1/2,-z'
'-x+1/2,y+1/2,-z'
'x+1/2,-y+1/2,z'
loop_
_atom_site_label
_atom_site_fract_x
_atom_site_fract_y
_atom_site_fract_z
_atom_site_occupancy
Pm1 0.000 0.000 0.000 1
Sm1 0.000 0.165 0.500 1
Sm2 0.000 0.500 0.500 1
Pu1 0.000 0.333 0.000 1
Se1 0.246 0.500 0.248 1
Se2 0.249 0.332 0.751 1
```

Most intense lines, 2θ from 10° to 90°, low angle first:
| 2θ/deg | intensity | hkl |
| --- | --- | --- |
| 26.23 | 20 | 2 0 0 |
| 30.34 | 100 | 1 3 1 |
| 43.34 | 38 | 2 0 2 |
| 43.53 | 37 | 0 6 0 |
| 51.47 | 9 | 3 3 1 |
| 53.98 | 20 | 4 0 0 |
| 63.11 | 12 | 2 6 2 |
| 71.48 | 17 | 3 3 3 |
| 71.76 | 17 | 4 6 0 |
| 79.79 | 13 | 5 3 1 |

=====

(2)
Calculated powder X-ray diffraction pattern of Ac2Er3In4 for Cu Kα, 1.54184 Å, from a crystal structure in Alexandria, relaxed with PBE.
Intensities are scaled so that the largest is 100.

Structure:
```
data_Ac2Er3In4
_chemical_formula_sum 'Ac8 Er12 In16'
_cell_length_a 7.151
_cell_length_b 17.388
_cell_length_c 9.161
_cell_angle_alpha 90.00
_cell_angle_beta 90.00
_cell_angle_gamma 90.00
_symmetry_space_group_name_H-M 'C m c e'
_symmetry_Int_Tables_number 64
_symmetry_space_group_name_Hall '-C 2ac 2'
loop_
_atom_site_label
_atom_site_fract_x
_atom_site_fract_y
_atom_site_fract_z
_atom_site_occupancy
Ac1 0.000 0.110 0.080 1
Er1 0.000 0.000 0.500 1
Er2 0.250 0.219 0.750 1
In1 0.000 0.182 0.462 1
In2 0.250 0.043 0.750 1
```

Most intense lines, 2θ from 10° to 90°, low angle first:
| 2θ/deg | intensity | hkl |
| --- | --- | --- |
| 27.78 | 26 | 1 3 2 |
| 28.70 | 47 | 2 2 1 |
| 30.20 | 87 | 1 5 1 |
| 31.04 | 49 | 0 2 3 |
| 31.75 | 100 | 2 0 2 |
| 32.41 | 59 | 0 6 1 |
| 41.31 | 19 | 2 6 1 |
| 47.28 | 25 | 3 5 1 |
| 50.36 | 27 | 2 6 3 |
| 51.09 | 19 | 4 0 0 |